Entry 1:
The following is a calculated XRD peak list of Mg3HgTe4. It was derived from the PBE geometry in Alexandria, using Cu Kα (λ = 1.5418 Å).
Kinematic intensities with the Lorentz-polarization factor, no thermal factor.

Cell and atoms:
Lattice parameters (Å, degrees): 6.5444 6.5444 6.5444 90.00 90.00 90.00
Space group P-43m (No. 215)
Symmetry-distinct sites (fractional):
Mg: 0.0000 0.0000 0.5000 [3 per cell]
Hg: 0.5000 0.5000 0.5000 [1 per cell]
Te: 0.2454 0.2454 0.7546 [4 per cell]

Top 8 peaks for 10° ≤ 2θ ≤ 90°, in order of falling intensity:
2θ (°), intensity
23.5, 100
38.9, 74
46.0, 49
70.5, 25
19.2, 22
61.8, 20
13.5, 19
30.5, 17

***

Entry 2:
The following is a calculated XRD peak list of Ba2NaCd4Pb3. It was derived from the PBE geometry in Alexandria, using Cu Kα (λ = 1.5418 Å).
Kinematic intensities with the Lorentz-polarization factor, no thermal factor.

Cell and atoms:
Lattice parameters (Å, degrees): 4.9710 4.9710 13.0501 90.00 90.00 90.00
Space group P-4m2 (No. 115)
Symmetry-distinct sites (fractional):
Ba: 0.0000 0.5000 0.2359 [2 per cell]
Na: 0.0000 0.0000 0.5000 [1 per cell]
Cd: 0.0000 0.0000 0.0000 [1 per cell]
Cd: 0.0000 0.5000 0.6363 [2 per cell]
Cd: 0.5000 0.5000 0.0000 [1 per cell]
Pb: 0.0000 0.5000 0.8621 [2 per cell]
Pb: 0.5000 0.5000 0.5000 [1 per cell]

Top 8 peaks for 10° ≤ 2θ ≤ 90°, in order of falling intensity:
2θ (°), intensity
28.9, 100
36.1, 77
27.2, 66
37.6, 50
39.0, 48
54.2, 37
45.8, 32
19.1, 32

***

Entry 3:
The following is a calculated XRD peak list of AlBiB3. It was derived from the PBE geometry in Alexandria, using Cu Kα (λ = 1.5418 Å).
Kinematic intensities with the Lorentz-polarization factor, no thermal factor.

Cell and atoms:
Lattice parameters (Å, degrees): 4.2680 4.2680 4.2680 90.00 90.00 90.00
Space group Pm-3m (No. 221)
Symmetry-distinct sites (fractional):
Al: 0.0000 0.0000 0.0000 [1 per cell]
Bi: 0.5000 0.5000 0.5000 [1 per cell]
B: 0.0000 0.0000 0.5000 [3 per cell]

Top 8 peaks for 10° ≤ 2θ ≤ 90°, in order of falling intensity:
2θ (°), intensity
29.6, 100
20.8, 64
52.5, 42
47.6, 33
36.5, 32
42.4, 25
85.0, 23
69.7, 19

***

Entry 4:
The following is a calculated XRD peak list of Sr6Cd5Pd. It was derived from the PBE geometry in Alexandria, using Cu Kα (λ = 1.5418 Å).
Kinematic intensities with the Lorentz-polarization factor, no thermal factor.

Cell and atoms:
Lattice parameters (Å, degrees): 5.6924 7.9106 9.0182 90.00 108.44 90.00
Space group P2/m (No. 10)
Symmetry-distinct sites (fractional):
Sr: 0.0000 0.2373 0.0000 [2 per cell]
Sr: 0.3409 0.2441 0.6803 [4 per cell]
Cd: 0.1667 0.5000 0.3355 [2 per cell]
Cd: 0.1731 0.0000 0.3487 [2 per cell]
Cd: 0.5000 0.5000 0.0000 [1 per cell]
Pd: 0.5000 0.0000 0.0000 [1 per cell]

Top 8 peaks for 10° ≤ 2θ ≤ 90°, in order of falling intensity:
2θ (°), intensity
31.7, 100
31.4, 51
56.1, 27
45.0, 18
56.7, 18
66.2, 11
56.1, 9
45.9, 9